Calculated powder X-ray diffraction pattern of Pa2NbCrN6 for Cu Kα X-rays, from a crystal structure in Alexandria, relaxed with PBE.
Neutral-atom scattering factors, no anomalous dispersion.

Main lines, in order of rising 2θ (2θ from 10° to 90°):
2θ 18.48, I 28, (0 0 1)
2θ 23.72, I 19, (1 1 0)
2θ 30.24, I 100, (1 1 1)
2θ 33.80, I 37, (2 0 0)
2θ 38.79, I 18, (2 0 1)
2θ 44.83, I 19, (1 1 2)
2θ 48.55, I 19, (2 2 0)
2θ 51.34, I 23, (2 0 2)
2θ 58.27, I 32, (3 1 1)
2θ 68.21, I 11, (3 1 2)

a = 5.3040 Å, b = 5.3040 Å, c = 4.8012 Å
α = 90.00°, β = 90.00°, γ = 90.00°
Space group P4mm (No. 99)
Inequivalent atoms, fractional coordinates:
Pa1 0.0000 0.5000 0.0000
Nb1 0.0000 0.0000 0.5811
Cr1 0.5000 0.5000 0.5874
N1 0.0000 0.0000 0.1831
N2 0.2554 0.2554 0.7378
N3 0.5000 0.5000 0.2206

=====

Calculated powder X-ray diffraction pattern of Ce2PaFe9 for Cu Kα X-rays, from a crystal structure in Alexandria, relaxed with PBE.
Neutral-atom scattering factors, no anomalous dispersion.

Main lines, in order of rising 2θ (2θ from 10° to 90°):
2θ 21.05, I 21, (0 0 6)
2θ 32.43, I 39, (1 0 7)
2θ 35.30, I 27, (0 1 8)
2θ 36.28, I 37, (1 1 0)
2θ 42.34, I 100, (1 1 6)
2θ 42.98, I 12, (0 0 12)
2θ 62.85, I 12, (2 1 7)
2θ 67.90, I 10, (2 0 14)
2θ 69.44, I 16, (0 3 6)
2θ 77.03, I 13, (2 2 0)

a = 4.9521 Å, b = 4.9521 Å, c = 25.2535 Å
α = 90.00°, β = 90.00°, γ = 120.00°
Space group R-3m (No. 166, hexagonal axes)
Inequivalent atoms, fractional coordinates:
Ce1 0.0000 0.0000 0.1430
Pa1 0.0000 0.0000 0.0000
Fe1 0.0000 0.0000 0.3326
Fe2 0.0000 0.0000 0.5000
Fe3 0.0011 0.5006 0.0811

=====

Calculated powder X-ray diffraction pattern of LaTlAuS2 for Cu Kα X-rays, from a crystal structure in Alexandria, relaxed with PBE.
Neutral-atom scattering factors, no anomalous dispersion.

Main lines, in order of rising 2θ (2θ from 10° to 90°):
2θ 23.33, I 28, (1 0 -2)
2θ 27.68, I 100, (1 1 -2)
2θ 28.39, I 28, (1 1 1)
2θ 31.55, I 25, (0 2 1)
2θ 34.95, I 25, (1 1 -3)
2θ 35.18, I 43, (1 2 0)
2θ 35.88, I 57, (1 1 2)
2θ 37.55, I 27, (2 0 0)
2θ 43.15, I 25, (0 0 4)
2θ 50.37, I 29, (0 3 2)

a = 5.0535 Å, b = 6.0265 Å, c = 8.8451 Å
α = 90.00°, β = 108.55°, γ = 90.00°
Space group P2/c (No. 13)
Inequivalent atoms, fractional coordinates:
La1 0.0000 0.0355 0.2500
Tl1 0.5000 0.3512 0.7500
Au1 0.0000 0.5000 0.0000
S1 0.3064 0.1876 0.0428